Theoretical powder XRD pattern
Compound: Ba2Nd2Fe4O11
Radiation: Cu Kα, 1.54184 Å
Structure: the PBE+U geometry in Alexandria

Atomic structure:
```
19
Lattice="4.0400 -7.9017 0.0000 4.0400 7.9017 0.0000 0.0000 0.0000 3.9534" Properties=species:S:1:pos:R:3 pbc="T T T"
Ba 2.0200 3.9509 0.0000
Ba 2.0200 -3.9509 0.0000
Nd 1.8632 0.0000 0.0000
Nd 6.2169 0.0000 0.0000
Fe 4.0400 5.9538 1.9767
Fe 4.0400 1.9720 1.9767
Fe 4.0400 -1.9720 1.9767
Fe 4.0400 -5.9538 1.9767
O 0.0000 0.0000 1.9767
O 4.0400 6.0425 0.0000
O 2.0947 1.6502 1.9767
O 4.0400 3.9105 1.9767
O 2.0947 -1.6502 1.9767
O 4.0400 1.4369 0.0000
O 4.0400 -1.4369 0.0000
O 5.9854 1.6502 1.9767
O 4.0400 -3.9105 1.9767
O 5.9854 -1.6502 1.9767
O 4.0400 -6.0425 0.0000
```

Peak list (12 most intense, 10° ≤ 2θ ≤ 90°, by angle)
- d = 3.952 Å, 22.50°, I 14.5
- d = 2.825 Å, 31.67°, I 100.0
- d = 2.795 Å, 32.03°, I 52.8
- d = 2.298 Å, 39.20°, I 23.8
- d = 2.020 Å, 44.87°, I 15.7
- d = 1.976 Å, 45.92°, I 29.5
- d = 1.637 Å, 56.19°, I 19.0
- d = 1.619 Å, 56.86°, I 40.9
- d = 1.413 Å, 66.14°, I 9.0
- d = 1.397 Å, 66.97°, I 8.3
- d = 1.252 Å, 75.98°, I 8.0
- d = 1.250 Å, 76.17°, I 8.5